KCrS2O8: calculated powder X-ray diffraction pattern (Cu Kα X-rays), based on a structure optimized by DFT (PBE+U).
Peak positions follow from Bragg's law for the DFT cell and can differ from measured ones.

Most intense lines, 2θ = 15–90°, by angle:
- hkl 0 0 2, 21.57 deg, rel. 39.1
- hkl 1 1 -1, 22.70 deg, rel. 66.7
- hkl 1 1 1, 23.51 deg, rel. 68.3
- hkl 1 0 2, 25.06 deg, rel. 47.5
- hkl 2 1 -1, 29.59 deg, rel. 100.0
- hkl 2 1 1, 30.84 deg, rel. 46.4
- hkl 0 2 0, 34.55 deg, rel. 32.8
- hkl 0 1 3, 37.03 deg, rel. 54.7
- hkl 1 2 -2, 42.23 deg, rel. 15.6
- hkl 2 2 -4, 60.59 deg, rel. 15.6

Crystal structure
Lattice parameters (Å, degrees): 8.022 5.193 8.262 90.00 94.36 90.00
Positions (direct):
K (0.000, 0.000, 0.000)
K (0.000, 0.500, 0.500)
Cr (0.500, 0.000, 0.000)
Cr (0.500, 0.500, 0.500)
S (0.302, 0.001, 0.633)
S (0.302, 0.499, 0.133)
S (0.698, 0.501, 0.867)
S (0.698, 0.999, 0.367)
O (0.135, 0.503, 0.191)
O (0.135, 0.997, 0.691)
O (0.319, 0.238, 0.529)
O (0.319, 0.262, 0.029)
O (0.322, 0.731, 0.026)
O (0.322, 0.769, 0.526)
O (0.441, 0.001, 0.762)
O (0.441, 0.499, 0.262)
O (0.559, 0.501, 0.738)
O (0.559, 0.999, 0.238)
O (0.678, 0.231, 0.474)
O (0.678, 0.269, 0.974)
O (0.681, 0.738, 0.971)
O (0.681, 0.762, 0.471)
O (0.865, 0.003, 0.309)
O (0.865, 0.497, 0.809)